Starting from a structure optimized by DFT (GGA-PBE), the X-ray diffraction stick pattern of AcZnCu10 was simulated for CuKα.
Intensities are scaled so that the largest is 100.

Atomic structure:
a b c (Å): 4.1777 4.9566 8.7290
angles (deg): 90.00 90.00 90.00
Fractional positions:
Ac1 0.0000 0.0000 0.0000
Zn1 0.0000 0.5000 0.5000
Cu1 0.0000 0.0000 0.3539
Cu2 0.0000 0.0000 0.6461
Cu3 0.0000 0.5000 0.2121
Cu4 0.0000 0.5000 0.7879
Cu5 0.5000 0.0000 0.5000
Cu6 0.5000 0.2503 0.2566
Cu7 0.5000 0.2503 0.7434
Cu8 0.5000 0.5000 0.0000
Cu9 0.5000 0.7497 0.2566
Cu10 0.5000 0.7497 0.7434

Most intense lines, 10° ≤ 2θ ≤ 90°, by intensity:
d_spacing	2θ (°)	intensity
2.152	41.98	100
3.000	29.78	44
2.131	42.41	42
2.089	43.32	39
2.182	41.37	20
2.509	35.78	19
3.018	29.60	16
2.578	34.80	16
1.500	61.86	16
1.359	69.14	16
3.276	27.22	15
2.478	36.25	12